Theoretical PXRD pattern of FeMoClO4 for CuKα, from DFT lattice parameters and positions (PBE+U).

Top 8 peaks for 2θ from 10° to 90°, by angle:
- (1 0 0), 15.8 deg, I 43
- (1 0 -1), 20.5 deg, I 25
- (1 1 1), 24.4 deg, I 100
- (0 2 0), 26.3 deg, I 97
- (1 0 -2), 30.8 deg, I 18
- (2 1 -1), 37.1 deg, I 52
- (1 1 3), 45.2 deg, I 30
- (2 3 -1), 53.8 deg, I 31

Crystal structure
abc: 5.6108 6.7877 6.7856
angles: 90.00 90.13 90.00
Sites, in units of the cell vectors:
Fe 0.2332 0.2500 0.2492
Fe 0.7668 0.7500 0.7508
Mo 0.5002 0.2500 0.7500
Mo 0.4998 0.7500 0.2500
Cl 0.1644 0.7500 0.7503
Cl 0.8356 0.2500 0.2497
O 0.3139 0.2500 0.9644
O 0.3145 0.5348 0.2490
O 0.3145 0.9652 0.2490
O 0.3158 0.2500 0.5339
O 0.6842 0.7500 0.4661
O 0.6855 0.0348 0.7510
O 0.6855 0.4652 0.7510
O 0.6861 0.7500 0.0356